Starting from a GGA-PBE-relaxed structure, the X-ray diffraction stick pattern of ZnAg2P2S6 was calculated for Cu Kα X-rays.
Neutral-atom scattering factors, no anomalous dispersion.

Crystal structure
```
ZnAg2P2S6
1.0
3.172 -5.476 0.000
3.172 5.476 0.000
-2.952 0.000 27.255
Zn Ag P S
4 8 8 24
direct
0.046 0.182 0.126 Zn
0.182 0.046 0.626 Zn
0.818 0.954 0.374 Zn
0.954 0.818 0.874 Zn
0.252 0.468 0.813 Ag
0.303 0.482 0.940 Ag
0.468 0.252 0.313 Ag
0.482 0.303 0.440 Ag
0.518 0.697 0.560 Ag
0.532 0.748 0.687 Ag
0.697 0.518 0.060 Ag
0.748 0.532 0.187 Ag
0.134 0.591 0.333 P
0.145 0.625 0.417 P
0.375 0.855 0.083 P
0.409 0.866 0.167 P
0.591 0.134 0.833 P
0.625 0.145 0.917 P
0.855 0.375 0.583 P
0.866 0.409 0.667 P
0.072 0.246 0.313 S
0.085 0.909 0.437 S
0.091 0.915 0.063 S
0.130 0.703 0.564 S
0.142 0.533 0.186 S
0.144 0.357 0.692 S
0.246 0.072 0.813 S
0.297 0.870 0.936 S
0.301 0.515 0.057 S
0.357 0.144 0.192 S
0.467 0.858 0.314 S
0.485 0.699 0.443 S
0.515 0.301 0.557 S
0.533 0.142 0.686 S
0.643 0.856 0.808 S
0.699 0.485 0.943 S
0.703 0.130 0.064 S
0.754 0.928 0.187 S
0.856 0.643 0.308 S
0.858 0.467 0.814 S
0.870 0.297 0.436 S
0.909 0.085 0.937 S
0.915 0.091 0.563 S
0.928 0.754 0.687 S
```

Top 6 peaks for 2θ = 15–90°, by intensity:
| 2θ (°) | I (rel.) |
| --- | --- |
| 26.16 | 100 |
| 28.62 | 98 |
| 28.35 | 56 |
| 49.85 | 45 |
| 42.41 | 43 |
| 16.86 | 24 |

***

Starting from a GGA-PBE-relaxed structure, the X-ray diffraction stick pattern of K2Au3 was calculated for Cu Kα X-rays.
Neutral-atom scattering factors, no anomalous dispersion.

Crystal structure
```
K2Au3
1.0
-2.484 2.803 5.103
2.484 -2.803 5.103
2.484 2.803 -5.103
K Au
2 3
direct
0.194 0.194 0.000 K
0.806 0.806 0.000 K
0.246 0.500 0.746 Au
0.500 0.000 0.500 Au
0.754 0.500 0.254 Au
```

Top 6 peaks for 2θ = 15–90°, by intensity:
| 2θ (°) | I (rel.) |
| --- | --- |
| 17.38 | 100 |
| 37.89 | 83 |
| 45.75 | 35 |
| 29.73 | 30 |
| 36.16 | 28 |
| 58.99 | 27 |

***

Starting from a GGA-PBE-relaxed structure, the X-ray diffraction stick pattern of Sr2IrO4 was calculated for Cu Kα X-rays.
Neutral-atom scattering factors, no anomalous dispersion.

Crystal structure
```
Sr2IrO4
1.0
7.815 0.000 0.000
0.134 7.867 0.000
1.431 2.170 15.257
Sr Ir O
16 8 32
direct
0.000 0.000 0.000 Sr
0.000 0.252 0.322 Sr
0.017 0.497 0.953 Sr
0.082 0.435 0.513 Sr
0.231 0.898 0.793 Sr
0.253 0.810 0.370 Sr
0.404 0.658 0.604 Sr
0.478 0.402 0.358 Sr
0.480 0.413 0.881 Sr
0.547 0.707 0.152 Sr
0.606 0.155 0.706 Sr
0.669 0.840 0.920 Sr
0.700 0.269 0.115 Sr
0.766 0.738 0.421 Sr
0.812 0.668 0.705 Sr
0.991 0.649 0.218 Sr
0.064 0.996 0.600 Ir
0.135 0.338 0.752 Ir
0.180 0.014 0.164 Ir
0.275 0.314 0.096 Ir
0.395 0.050 0.029 Ir
0.441 0.068 0.479 Ir
0.715 0.107 0.518 Ir
0.881 0.238 0.838 Ir
0.022 0.974 0.269 O
0.025 0.585 0.371 O
0.036 0.212 0.108 O
0.057 0.840 0.522 O
0.076 0.166 0.675 O
0.096 0.523 0.664 O
0.204 0.518 0.820 O
0.225 0.428 0.198 O
0.229 0.198 0.442 O
0.274 0.800 0.206 O
0.294 0.952 0.945 O
0.315 0.993 0.593 O
0.332 0.212 0.785 O
0.369 0.575 0.467 O
0.464 0.461 0.050 O
0.480 0.054 0.364 O
0.513 0.830 0.721 O
0.526 0.736 0.811 O
0.587 0.816 0.296 O
0.623 0.997 0.062 O
0.641 0.455 0.646 O
0.648 0.153 0.869 O
0.673 0.647 0.289 O
0.706 0.252 0.267 O
0.721 0.583 0.574 O
0.764 0.601 0.037 O
0.785 0.309 0.451 O
0.796 0.475 0.853 O
0.801 0.408 0.224 O
0.807 0.981 0.618 O
0.915 0.709 0.050 O
0.937 0.971 0.851 O
```

Top 6 peaks for 2θ = 15–90°, by intensity:
| 2θ (°) | I (rel.) |
| --- | --- |
| 15.51 | 100 |
| 28.01 | 97 |
| 32.44 | 92 |
| 27.14 | 88 |
| 17.40 | 86 |
| 25.59 | 81 |